For NaEuV4O12, a crystal structure in the Materials Project, relaxed with GGA+U gives the computed X-ray diffraction stick pattern in this record (Cu Kα, 1.54184 Å).

Cell and atoms:
abc: 7.4168 5.5065 5.5065
angles: 82.51 90.00 90.00
Positions (direct):
Na (0.0000, 0.0000, 0.0000)
Eu (0.5000, 0.4640, 0.4640)
V (0.2446, 0.4830, 0.9694)
V (0.2446, 0.9694, 0.4830)
V (0.7554, 0.4830, 0.9694)
V (0.7554, 0.9694, 0.4830)
O (0.0000, 0.0369, 0.4719)
O (0.0000, 0.4719, 0.0369)
O (0.2203, 0.7907, 0.7907)
O (0.2515, 0.3046, 0.7433)
O (0.2515, 0.7433, 0.3046)
O (0.2813, 0.2515, 0.2515)
O (0.5000, 0.5422, 0.9896)
O (0.5000, 0.9896, 0.5422)
O (0.7187, 0.2515, 0.2515)
O (0.7485, 0.3046, 0.7433)
O (0.7485, 0.7433, 0.3046)
O (0.7797, 0.7907, 0.7907)

Principal peaks in the range 2θ = 10–90°, low angle first:
two_theta	intensity
11.9	36.8
16.2	44.8
20.2	100.0
32.4	48.5
32.8	52.2
34.6	41.0


For Fe2PH2CO7, a crystal structure in the Materials Project, relaxed with GGA+U gives the computed X-ray diffraction stick pattern in this record (Cu Kα, 1.54184 Å).

Cell and atoms:
abc: 8.1255 4.9029 15.8206
angles: 90.00 115.68 90.00
Positions (direct):
Fe (0.0663, 0.0411, 0.3594)
Fe (0.0663, 0.4589, 0.8594)
Fe (0.3934, 0.5326, 0.3040)
Fe (0.3934, 0.9674, 0.8040)
Fe (0.6066, 0.0326, 0.1960)
Fe (0.6066, 0.4674, 0.6960)
Fe (0.9337, 0.5411, 0.1406)
Fe (0.9337, 0.9589, 0.6406)
P (0.1931, 0.5209, 0.6922)
P (0.1931, 0.9791, 0.1922)
P (0.8069, 0.0209, 0.8078)
P (0.8069, 0.4791, 0.3078)
H (0.1385, 0.7444, 0.0220)
H (0.1385, 0.7556, 0.5220)
H (0.2869, 0.5120, 0.0325)
H (0.2869, 0.9880, 0.5325)
H (0.7131, 0.0120, 0.4675)
H (0.7131, 0.4880, 0.9675)
H (0.8615, 0.2444, 0.4780)
H (0.8615, 0.2556, 0.9780)
C (0.4316, 0.1175, 0.9915)
C (0.4316, 0.3825, 0.4915)
C (0.5684, 0.6175, 0.5085)
C (0.5684, 0.8825, 0.0085)
O (0.0531, 0.6414, 0.5984)
O (0.0531, 0.8586, 0.0984)
O (0.1493, 0.6590, 0.7706)
O (0.1493, 0.8410, 0.2706)
O (0.1855, 0.2060, 0.6958)
O (0.1855, 0.2940, 0.1958)
O (0.2033, 0.6499, 0.9891)
O (0.2033, 0.8501, 0.4891)
O (0.3316, 0.1831, 0.9063)
O (0.3316, 0.3169, 0.4063)
O (0.3904, 0.6229, 0.7161)
O (0.3904, 0.8771, 0.2161)
O (0.4306, 0.2290, 0.0632)
O (0.4306, 0.2710, 0.5632)
O (0.5694, 0.7290, 0.4368)
O (0.5694, 0.7710, 0.9368)
O (0.6096, 0.1229, 0.7839)
O (0.6096, 0.3771, 0.2839)
O (0.6684, 0.6831, 0.5937)
O (0.6684, 0.8169, 0.0937)
O (0.7967, 0.1499, 0.5109)
O (0.7967, 0.3501, 0.0109)
O (0.8145, 0.7060, 0.8042)
O (0.8145, 0.7940, 0.3042)
O (0.8507, 0.1590, 0.7294)
O (0.8507, 0.3410, 0.2294)
O (0.9469, 0.1414, 0.9016)
O (0.9469, 0.3586, 0.4016)

Principal peaks in the range 2θ = 10–90°, low angle first:
two_theta	intensity
12.4	100.0
24.1	50.7
25.1	42.8
26.3	35.6
28.9	54.1
33.2	53.3


For Li3VPCO7, a crystal structure in the Materials Project, relaxed with GGA+U gives the computed X-ray diffraction stick pattern in this record (Cu Kα, 1.54184 Å).

Cell and atoms:
abc: 9.7372 6.5350 9.6925
angles: 90.00 117.66 90.00
Positions (direct):
Li (0.1103, 0.2481, 0.4372)
Li (0.1103, 0.2519, 0.9372)
Li (0.2968, 0.0213, 0.7719)
Li (0.2968, 0.4787, 0.2719)
Li (0.3711, 0.7348, 0.0719)
Li (0.3711, 0.7652, 0.5719)
Li (0.6289, 0.2348, 0.4281)
Li (0.6289, 0.2652, 0.9281)
Li (0.7032, 0.5213, 0.7281)
Li (0.7032, 0.9787, 0.2281)
Li (0.8897, 0.7481, 0.0628)
Li (0.8897, 0.7519, 0.5628)
V (0.2477, 0.5188, 0.7355)
V (0.2477, 0.9812, 0.2355)
V (0.7523, 0.0188, 0.7645)
V (0.7523, 0.4812, 0.2645)
P (0.4086, 0.2423, 0.5632)
P (0.4086, 0.2577, 0.0632)
P (0.5914, 0.7423, 0.9368)
P (0.5914, 0.7577, 0.4368)
C (0.0537, 0.7391, 0.3941)
C (0.0537, 0.7609, 0.8941)
C (0.9463, 0.2391, 0.1059)
C (0.9463, 0.2609, 0.6059)
O (0.0764, 0.7113, 0.5360)
O (0.0764, 0.7887, 0.0360)
O (0.0891, 0.2306, 0.2198)
O (0.0891, 0.2694, 0.7198)
O (0.1663, 0.7266, 0.8634)
O (0.1663, 0.7734, 0.3634)
O (0.3127, 0.0664, 0.5811)
O (0.3127, 0.4336, 0.0811)
O (0.3199, 0.0581, 0.0608)
O (0.3199, 0.4419, 0.5608)
O (0.4093, 0.2208, 0.4026)
O (0.4093, 0.2792, 0.9026)
O (0.4212, 0.7464, 0.3059)
O (0.4212, 0.7536, 0.8059)
O (0.5788, 0.2464, 0.1941)
O (0.5788, 0.2536, 0.6941)
O (0.5907, 0.7208, 0.0974)
O (0.5907, 0.7792, 0.5974)
O (0.6801, 0.5581, 0.4392)
O (0.6801, 0.9419, 0.9392)
O (0.6873, 0.5664, 0.9189)
O (0.6873, 0.9336, 0.4189)
O (0.8337, 0.2266, 0.6366)
O (0.8337, 0.2734, 0.1366)
O (0.9109, 0.7306, 0.2802)
O (0.9109, 0.7694, 0.7802)
O (0.9236, 0.2113, 0.9640)
O (0.9236, 0.2887, 0.4640)

Principal peaks in the range 2θ = 10–90°, low angle first:
two_theta	intensity
17.3	100.0
22.3	31.5
24.8	69.8
25.4	55.3
34.4	96.6
50.7	33.0


For Ca2MnAs2H4O10, a crystal structure in the Materials Project, relaxed with GGA+U gives the computed X-ray diffraction stick pattern in this record (Cu Kα, 1.54184 Å).

Cell and atoms:
abc: 5.9545 13.1673 5.7917
angles: 90.00 108.13 90.00
Positions (direct):
Ca (0.0687, 0.1200, 0.2416)
Ca (0.0687, 0.3800, 0.7416)
Ca (0.9313, 0.6200, 0.2584)
Ca (0.9313, 0.8800, 0.7584)
Mn (0.5000, 0.0000, 0.0000)
Mn (0.5000, 0.5000, 0.5000)
As (0.2761, 0.6221, 0.9287)
As (0.2761, 0.8779, 0.4287)
As (0.7239, 0.1221, 0.5713)
As (0.7239, 0.3779, 0.0713)
H (0.1838, 0.1559, 0.8051)
H (0.1838, 0.3441, 0.3051)
H (0.3939, 0.2104, 0.0014)
H (0.3939, 0.2896, 0.5014)
H (0.6061, 0.7104, 0.4986)
H (0.6061, 0.7896, 0.9986)
H (0.8162, 0.6559, 0.6949)
H (0.8162, 0.8441, 0.1949)
O (0.0498, 0.7066, 0.9174)
O (0.0498, 0.7934, 0.4174)
O (0.2117, 0.5543, 0.6582)
O (0.2117, 0.9457, 0.1582)
O (0.2527, 0.5381, 0.1513)
O (0.2527, 0.9619, 0.6513)
O (0.3037, 0.1431, 0.9683)
O (0.3037, 0.3569, 0.4683)
O (0.4498, 0.1748, 0.4979)
O (0.4498, 0.3252, 0.9979)
O (0.5502, 0.6748, 0.0021)
O (0.5502, 0.8252, 0.5021)
O (0.6963, 0.6431, 0.5317)
O (0.6963, 0.8569, 0.0317)
O (0.7473, 0.0381, 0.3487)
O (0.7473, 0.4619, 0.8487)
O (0.7883, 0.0543, 0.8418)
O (0.7883, 0.4457, 0.3418)
O (0.9502, 0.2066, 0.5826)
O (0.9502, 0.2934, 0.0826)

Principal peaks in the range 2θ = 10–90°, low angle first:
two_theta	intensity
25.7	33.9
26.0	62.5
27.1	34.6
27.7	39.1
29.3	100.0
31.4	95.5